No. 1
This entry pairs a crystal structure of Nd6DyHo3 with its simulated powder XRD pattern. Radiation: a wavelength of 1.5418 Å. Structure: DFT lattice parameters and positions (PBE).

Atomic structure:
```
data_Nd6DyHo3
_chemical_formula_sum 'Nd12 Dy2 Ho6'
_symmetry_space_group_name_H-M 'P 1'
_symmetry_Int_Tables_number 1
_symmetry_space_group_name_Hall 'P 1'
_cell_length_a 11.1254
_cell_length_b 11.1254
_cell_length_c 6.3736
_cell_angle_alpha 90.00
_cell_angle_beta 90.00
_cell_angle_gamma 120.82
loop_
_atom_site_label
_atom_site_type_symbol
_atom_site_fract_x
_atom_site_fract_y
_atom_site_fract_z
Nd1 Nd 0.0359 0.9641 0.5000
Nd2 Nd 0.0586 0.4790 0.9754
Nd3 Nd 0.2803 0.7197 0.2658
Nd4 Nd 0.2885 0.3724 0.1622
Nd5 Nd 0.3724 0.2885 0.6622
Nd6 Nd 0.4790 0.0586 0.4754
Nd7 Nd 0.5210 0.9414 0.9754
Nd8 Nd 0.6276 0.7115 0.1622
Nd9 Nd 0.7115 0.6276 0.6622
Nd10 Nd 0.7197 0.2803 0.7658
Nd11 Nd 0.9414 0.5210 0.4754
Nd12 Nd 0.9641 0.0359 0.0000
Dy1 Dy 0.1953 0.8047 0.7271
Dy2 Dy 0.8047 0.1953 0.2271
Ho1 Ho 0.0547 0.2841 0.5808
Ho2 Ho 0.2841 0.0547 0.0808
Ho3 Ho 0.3853 0.6147 0.6967
Ho4 Ho 0.6147 0.3853 0.1967
Ho5 Ho 0.7159 0.9453 0.5808
Ho6 Ho 0.9453 0.7159 0.0808
```

Main lines, in order of falling intensity (10° ≤ 2θ ≤ 90°):
2θ 31.08, rel. 100
2θ 31.40, rel. 53
2θ 33.81, rel. 53
2θ 28.29, rel. 48
2θ 28.48, rel. 45
2θ 28.01, rel. 35
2θ 33.69, rel. 34
2θ 29.54, rel. 28
2θ 32.48, rel. 21
2θ 59.87, rel. 19

No. 2
This entry pairs a crystal structure of Nd5Dy6Ho with its simulated powder XRD pattern. Radiation: a wavelength of 1.5418 Å. Structure: DFT lattice parameters and positions (PBE).

Atomic structure:
```
data_Nd5Dy6Ho
_chemical_formula_sum 'Nd5 Dy6 Ho1'
_symmetry_space_group_name_H-M 'P 1'
_symmetry_Int_Tables_number 1
_symmetry_space_group_name_Hall 'P 1'
_cell_length_a 6.2399
_cell_length_b 6.2399
_cell_length_c 11.8675
_cell_angle_alpha 95.01
_cell_angle_beta 95.01
_cell_angle_gamma 119.98
loop_
_atom_site_label
_atom_site_type_symbol
_atom_site_fract_x
_atom_site_fract_y
_atom_site_fract_z
Nd1 Nd 0.0000 0.0000 0.0000
Nd2 Nd 0.1664 0.8336 0.5000
Nd3 Nd 0.3332 0.6668 0.0000
Nd4 Nd 0.6668 0.3332 0.0000
Nd5 Nd 0.8336 0.1664 0.5000
Dy1 Dy 0.0848 0.4175 0.2512
Dy2 Dy 0.2501 0.2501 0.7491
Dy3 Dy 0.4175 0.0848 0.2512
Dy4 Dy 0.5825 0.9152 0.7488
Dy5 Dy 0.7499 0.7499 0.2509
Dy6 Dy 0.9152 0.5825 0.7488
Ho1 Ho 0.5000 0.5000 0.5000
```

Main lines, in order of falling intensity (10° ≤ 2θ ≤ 90°):
2θ 30.41, rel. 100
2θ 35.31, rel. 67
2θ 30.60, rel. 33
2θ 60.37, rel. 29
2θ 50.67, rel. 24
2θ 50.93, rel. 24
2θ 60.25, rel. 14
2θ 60.59, rel. 14
2θ 63.27, rel. 12
2θ 82.53, rel. 12

No. 3
This entry pairs a crystal structure of NdDy5Ho8 with its simulated powder XRD pattern. Radiation: a wavelength of 1.5418 Å. Structure: DFT lattice parameters and positions (PBE).

Atomic structure:
```
data_NdDy5Ho8
_chemical_formula_sum 'Nd1 Dy5 Ho8'
_symmetry_space_group_name_H-M 'P 1'
_symmetry_Int_Tables_number 1
_symmetry_space_group_name_Hall 'P 1'
_cell_length_a 8.4034
_cell_length_b 8.4034
_cell_length_c 8.4034
_cell_angle_alpha 111.46
_cell_angle_beta 111.46
_cell_angle_gamma 105.56
loop_
_atom_site_label
_atom_site_type_symbol
_atom_site_fract_x
_atom_site_fract_y
_atom_site_fract_z
Nd1 Nd 0.0000 0.0000 0.0000
Dy1 Dy 0.0340 0.2112 0.5974
Dy2 Dy 0.2500 0.7500 0.5000
Dy3 Dy 0.5633 0.9660 0.1772
Dy4 Dy 0.6138 0.4367 0.4026
Dy5 Dy 0.7888 0.3862 0.8228
Ho1 Ho 0.0904 0.6752 0.7603
Ho2 Ho 0.2799 0.5280 0.1057
Ho3 Ho 0.3248 0.0851 0.4152
Ho4 Ho 0.4224 0.1742 0.8943
Ho5 Ho 0.4720 0.5776 0.7518
Ho6 Ho 0.6699 0.9096 0.5848
Ho7 Ho 0.8258 0.7201 0.2482
Ho8 Ho 0.9149 0.3301 0.2397
```

Main lines, in order of falling intensity (10° ≤ 2θ ≤ 90°):
2θ 33.89, rel. 100
2θ 29.86, rel. 72
2θ 29.65, rel. 65
2θ 27.97, rel. 55
2θ 35.32, rel. 51
2θ 34.79, rel. 42
2θ 32.02, rel. 23
2θ 63.05, rel. 20
2θ 56.60, rel. 17
2θ 55.62, rel. 17

No. 4
This entry pairs a crystal structure of Nd2Dy3Ho2 with its simulated powder XRD pattern. Radiation: a wavelength of 1.5418 Å. Structure: DFT lattice parameters and positions (PBE).

Atomic structure:
```
data_Nd2Dy3Ho2
_chemical_formula_sum 'Nd4 Dy6 Ho4'
_symmetry_space_group_name_H-M 'P 1'
_symmetry_Int_Tables_number 1
_symmetry_space_group_name_Hall 'P 1'
_cell_length_a 16.6774
_cell_length_b 3.5095
_cell_length_c 8.7367
_cell_angle_alpha 90.00
_cell_angle_beta 116.03
_cell_angle_gamma 90.00
loop_
_atom_site_label
_atom_site_type_symbol
_atom_site_fract_x
_atom_site_fract_y
_atom_site_fract_z
Nd1 Nd 0.0795 0.0000 0.2013
Nd2 Nd 0.4205 0.5000 0.7987
Nd3 Nd 0.5795 0.5000 0.2013
Nd4 Nd 0.9205 0.0000 0.7987
Dy1 Dy 0.0000 0.0000 0.5000
Dy2 Dy 0.2207 0.0000 0.6481
Dy3 Dy 0.2793 0.5000 0.3519
Dy4 Dy 0.5000 0.5000 0.5000
Dy5 Dy 0.7207 0.5000 0.6481
Dy6 Dy 0.7793 0.0000 0.3519
Ho1 Ho 0.1393 0.5000 0.9069
Ho2 Ho 0.3607 0.0000 0.0931
Ho3 Ho 0.6393 0.0000 0.9069
Ho4 Ho 0.8607 0.5000 0.0931
```

Main lines, in order of falling intensity (10° ≤ 2θ ≤ 90°):
2θ 32.99, rel. 100
2θ 30.33, rel. 94
2θ 30.62, rel. 91
2θ 30.86, rel. 86
2θ 36.55, rel. 56
2θ 57.29, rel. 27
2θ 61.81, rel. 25
2θ 61.67, rel. 25
2θ 63.08, rel. 22
2θ 49.90, rel. 22

No. 5
This entry pairs a crystal structure of PmNd6Dy3Ho2 with its simulated powder XRD pattern. Radiation: a wavelength of 1.5418 Å. Structure: DFT lattice parameters and positions (PBE).

Atomic structure:
```
data_PmNd6Dy3Ho2
_chemical_formula_sum 'Pm1 Nd6 Dy3 Ho2'
_symmetry_space_group_name_H-M 'P 1'
_symmetry_Int_Tables_number 1
_symmetry_space_group_name_Hall 'P 1'
_cell_length_a 6.2818
_cell_length_b 6.2818
_cell_length_c 11.9052
_cell_angle_alpha 95.03
_cell_angle_beta 95.03
_cell_angle_gamma 120.00
loop_
_atom_site_label
_atom_site_type_symbol
_atom_site_fract_x
_atom_site_fract_y
_atom_site_fract_z
Pm1 Pm 0.0000 0.0000 0.0000
Nd1 Nd 0.0841 0.4181 0.2508
Nd2 Nd 0.2498 0.2498 0.7493
Nd3 Nd 0.4181 0.0841 0.2508
Nd4 Nd 0.5819 0.9159 0.7492
Nd5 Nd 0.7502 0.7502 0.2507
Nd6 Nd 0.9159 0.5819 0.7492
Dy1 Dy 0.1668 0.8332 0.5000
Dy2 Dy 0.5000 0.5000 0.5000
Dy3 Dy 0.8332 0.1668 0.5000
Ho1 Ho 0.3334 0.6666 0.0000
Ho2 Ho 0.6666 0.3334 0.0000
```

Main lines, in order of falling intensity (10° ≤ 2θ ≤ 90°):
2θ 30.22, rel. 100
2θ 35.12, rel. 67
2θ 30.51, rel. 33
2θ 59.99, rel. 29
2θ 50.32, rel. 24
2θ 50.70, rel. 24
2θ 59.82, rel. 14
2θ 60.33, rel. 14
2θ 62.84, rel. 12
2θ 81.88, rel. 12

No. 6
This entry pairs a crystal structure of Pm3Nd2DyHo6 with its simulated powder XRD pattern. Radiation: a wavelength of 1.5418 Å. Structure: DFT lattice parameters and positions (PBE).

Atomic structure:
```
data_Pm3Nd2DyHo6
_chemical_formula_sum 'Pm3 Nd2 Dy1 Ho6'
_symmetry_space_group_name_H-M 'P 1'
_symmetry_Int_Tables_number 1
_symmetry_space_group_name_Hall 'P 1'
_cell_length_a 6.2150
_cell_length_b 6.2150
_cell_length_c 11.8051
_cell_angle_alpha 95.02
_cell_angle_beta 95.02
_cell_angle_gamma 119.98
loop_
_atom_site_label
_atom_site_type_symbol
_atom_site_fract_x
_atom_site_fract_y
_atom_site_fract_z
Pm1 Pm 0.0000 0.0000 0.0000
Pm2 Pm 0.3332 0.6668 0.0000
Pm3 Pm 0.6668 0.3332 0.0000
Nd1 Nd 0.1665 0.8335 0.5000
Nd2 Nd 0.8335 0.1665 0.5000
Dy1 Dy 0.5000 0.5000 0.5000
Ho1 Ho 0.0836 0.4165 0.2503
Ho2 Ho 0.2509 0.2509 0.7500
Ho3 Ho 0.4165 0.0836 0.2503
Ho4 Ho 0.5835 0.9164 0.7497
Ho5 Ho 0.7491 0.7491 0.2500
Ho6 Ho 0.9164 0.5835 0.7497
```

Main lines, in order of falling intensity (10° ≤ 2θ ≤ 90°):
2θ 30.54, rel. 100
2θ 35.48, rel. 67
2θ 30.77, rel. 33
2θ 60.66, rel. 29
2θ 50.89, rel. 24
2θ 51.20, rel. 24
2θ 60.52, rel. 14
2θ 60.93, rel. 14
2θ 63.57, rel. 12
2θ 82.94, rel. 12

No. 7
This entry pairs a crystal structure of Pm2Nd2DyHo with its simulated powder XRD pattern. Radiation: a wavelength of 1.5418 Å. Structure: DFT lattice parameters and positions (PBE).

Atomic structure:
```
data_Pm2Nd2DyHo
_chemical_formula_sum 'Pm4 Nd4 Dy2 Ho2'
_symmetry_space_group_name_H-M 'P 1'
_symmetry_Int_Tables_number 1
_symmetry_space_group_name_Hall 'P 1'
_cell_length_a 7.0796
_cell_length_b 5.7130
_cell_length_c 9.9014
_cell_angle_alpha 90.00
_cell_angle_beta 90.00
_cell_angle_gamma 90.00
loop_
_atom_site_label
_atom_site_type_symbol
_atom_site_fract_x
_atom_site_fract_y
_atom_site_fract_z
Pm1 Pm 0.2500 0.0000 0.1627
Pm2 Pm 0.2500 0.5000 0.6689
Pm3 Pm 0.7500 0.0000 0.8373
Pm4 Pm 0.7500 0.5000 0.3311
Nd1 Nd 0.0000 0.5000 0.0000
Nd2 Nd 0.2500 0.0000 0.8232
Nd3 Nd 0.5000 0.5000 0.0000
Nd4 Nd 0.7500 0.0000 0.1768
Dy1 Dy 0.2500 0.5000 0.3408
Dy2 Dy 0.7500 0.5000 0.6592
Ho1 Ho 0.0000 0.0000 0.5000
Ho2 Ho 0.5000 0.0000 0.5000
```

Main lines, in order of falling intensity (10° ≤ 2θ ≤ 90°):
2θ 31.30, rel. 100
2θ 31.06, rel. 92
2θ 55.57, rel. 35
2θ 44.68, rel. 34
2θ 61.64, rel. 29
2θ 55.72, rel. 19
2θ 74.08, rel. 15
2θ 79.41, rel. 14
2θ 65.31, rel. 12
2θ 87.81, rel. 11

No. 8
This entry pairs a crystal structure of NdDyHo2S4 with its simulated powder XRD pattern. Radiation: a wavelength of 1.5418 Å. Structure: DFT lattice parameters and positions (PBE).

Atomic structure:
```
data_NdDyHo2S4
_chemical_formula_sum 'Nd1 Dy1 Ho2 S4'
_symmetry_space_group_name_H-M 'P 1'
_symmetry_Int_Tables_number 1
_symmetry_space_group_name_Hall 'P 1'
_cell_length_a 6.8340
_cell_length_b 3.8914
_cell_length_c 6.8620
_cell_angle_alpha 90.00
_cell_angle_beta 108.89
_cell_angle_gamma 90.00
loop_
_atom_site_label
_atom_site_type_symbol
_atom_site_fract_x
_atom_site_fract_y
_atom_site_fract_z
Nd1 Nd 0.0000 0.0000 0.0000
Dy1 Dy 0.5000 0.5000 0.0000
Ho1 Ho 0.0000 0.5000 0.5000
Ho2 Ho 0.5000 0.0000 0.5000
S1 S 0.2541 0.0000 0.7429
S2 S 0.2608 0.5000 0.2623
S3 S 0.7392 0.5000 0.7377
S4 S 0.7459 0.0000 0.2571
```

Main lines, in order of falling intensity (10° ≤ 2θ ≤ 90°):
2θ 32.15, rel. 100
2θ 27.97, rel. 40
2θ 46.03, rel. 24
2θ 46.18, rel. 24
2θ 27.48, rel. 21
2θ 27.59, rel. 21
2θ 55.06, rel. 13
2θ 45.56, rel. 12
2θ 57.80, rel. 12
2θ 46.68, rel. 12

No. 9
This entry pairs a crystal structure of NdDyHo5Sc2 with its simulated powder XRD pattern. Radiation: a wavelength of 1.5418 Å. Structure: DFT lattice parameters and positions (PBE).

Atomic structure:
```
data_NdDyHo5Sc2
_chemical_formula_sum 'Nd2 Dy2 Ho10 Sc4'
_symmetry_space_group_name_H-M 'P 1'
_symmetry_Int_Tables_number 1
_symmetry_space_group_name_Hall 'P 1'
_cell_length_a 11.0466
_cell_length_b 11.0466
_cell_length_c 9.3249
_cell_angle_alpha 90.00
_cell_angle_beta 90.00
_cell_angle_gamma 150.79
loop_
_atom_site_label
_atom_site_type_symbol
_atom_site_fract_x
_atom_site_fract_y
_atom_site_fract_z
Nd1 Nd 0.0976 0.9024 0.5000
Nd2 Nd 0.9024 0.0976 0.0000
Dy1 Dy 0.3113 0.6887 0.1028
Dy2 Dy 0.6887 0.3113 0.6028
Ho1 Ho 0.0313 0.9687 0.8325
Ho2 Ho 0.1093 0.8907 0.1266
Ho3 Ho 0.1930 0.8070 0.8049
Ho4 Ho 0.2348 0.7652 0.4181
Ho5 Ho 0.4919 0.5081 0.1050
Ho6 Ho 0.5081 0.4919 0.6050
Ho7 Ho 0.7652 0.2348 0.9181
Ho8 Ho 0.8070 0.1930 0.3049
Ho9 Ho 0.8907 0.1093 0.6266
Ho10 Ho 0.9687 0.0313 0.3325
Sc1 Sc 0.3576 0.6424 0.7781
Sc2 Sc 0.3866 0.6134 0.4079
Sc3 Sc 0.6134 0.3866 0.9079
Sc4 Sc 0.6424 0.3576 0.2781
```

Main lines, in order of falling intensity (10° ≤ 2θ ≤ 90°):
2θ 32.65, rel. 100
2θ 33.27, rel. 61
2θ 32.13, rel. 58
2θ 34.86, rel. 45
2θ 57.63, rel. 26
2θ 26.78, rel. 25
2θ 42.30, rel. 24
2θ 25.28, rel. 21
2θ 16.44, rel. 14
2θ 58.02, rel. 12

No. 10
This entry pairs a crystal structure of NdDy2HoSc2 with its simulated powder XRD pattern. Radiation: a wavelength of 1.5418 Å. Structure: DFT lattice parameters and positions (PBE).

Atomic structure:
```
data_NdDy2HoSc2
_chemical_formula_sum 'Nd2 Dy4 Ho2 Sc4'
_symmetry_space_group_name_H-M 'P 1'
_symmetry_Int_Tables_number 1
_symmetry_space_group_name_Hall 'P 1'
_cell_length_a 6.2705
_cell_length_b 17.4525
_cell_length_c 3.3508
_cell_angle_alpha 90.00
_cell_angle_beta 90.00
_cell_angle_gamma 90.00
loop_
_atom_site_label
_atom_site_type_symbol
_atom_site_fract_x
_atom_site_fract_y
_atom_site_fract_z
Nd1 Nd 0.0000 0.0000 0.0000
Nd2 Nd 0.5000 0.5000 0.5000
Dy1 Dy 0.2190 0.1926 0.0000
Dy2 Dy 0.2810 0.6926 0.5000
Dy3 Dy 0.7190 0.3074 0.5000
Dy4 Dy 0.7810 0.8074 0.0000
Ho1 Ho 0.0000 0.5000 0.0000
Ho2 Ho 0.5000 0.0000 0.5000
Sc1 Sc 0.2158 0.3546 0.5000
Sc2 Sc 0.2842 0.8546 0.0000
Sc3 Sc 0.7158 0.1454 0.0000
Sc4 Sc 0.7842 0.6454 0.5000
```

Main lines, in order of falling intensity (10° ≤ 2θ ≤ 90°):
2θ 30.28, rel. 100
2θ 30.72, rel. 57
2θ 30.79, rel. 33
2θ 36.73, rel. 31
2θ 33.99, rel. 30
2θ 31.97, rel. 29
2θ 24.86, rel. 28
2θ 20.35, rel. 22
2θ 42.43, rel. 20
2θ 50.99, rel. 19

No. 11
This entry pairs a crystal structure of NdDy6Ho2Sc3 with its simulated powder XRD pattern. Radiation: a wavelength of 1.5418 Å. Structure: DFT lattice parameters and positions (PBE).

Atomic structure:
```
data_NdDy6Ho2Sc3
_chemical_formula_sum 'Nd1 Dy6 Ho2 Sc3'
_symmetry_space_group_name_H-M 'P 1'
_symmetry_Int_Tables_number 1
_symmetry_space_group_name_Hall 'P 1'
_cell_length_a 6.0483
_cell_length_b 6.0483
_cell_length_c 11.4766
_cell_angle_alpha 95.03
_cell_angle_beta 95.03
_cell_angle_gamma 119.97
loop_
_atom_site_label
_atom_site_type_symbol
_atom_site_fract_x
_atom_site_fract_y
_atom_site_fract_z
Nd1 Nd 0.0000 0.0000 0.0000
Dy1 Dy 0.0870 0.4208 0.2600
Dy2 Dy 0.2468 0.2468 0.7399
Dy3 Dy 0.4208 0.0870 0.2600
Dy4 Dy 0.5792 0.9130 0.7400
Dy5 Dy 0.7532 0.7532 0.2601
Dy6 Dy 0.9130 0.5792 0.7400
Ho1 Ho 0.3334 0.6666 0.0000
Ho2 Ho 0.6666 0.3334 0.0000
Sc1 Sc 0.1670 0.8330 0.5000
Sc2 Sc 0.5000 0.5000 0.5000
Sc3 Sc 0.8330 0.1670 0.5000
```

Main lines, in order of falling intensity (10° ≤ 2θ ≤ 90°):
2θ 31.40, rel. 100
2θ 36.50, rel. 66
2θ 31.68, rel. 31
2θ 62.53, rel. 27
2θ 52.40, rel. 24
2θ 52.75, rel. 22
2θ 62.37, rel. 14
2θ 62.85, rel. 12
2θ 65.54, rel. 12
2θ 85.76, rel. 12

No. 12
This entry pairs a crystal structure of NdSm6DyHo2 with its simulated powder XRD pattern. Radiation: a wavelength of 1.5418 Å. Structure: DFT lattice parameters and positions (PBE).

Atomic structure:
```
data_NdSm6DyHo2
_chemical_formula_sum 'Nd2 Sm12 Dy2 Ho4'
_symmetry_space_group_name_H-M 'P 1'
_symmetry_Int_Tables_number 1
_symmetry_space_group_name_Hall 'P 1'
_cell_length_a 8.8913
_cell_length_b 8.8913
_cell_length_c 9.6187
_cell_angle_alpha 93.60
_cell_angle_beta 93.60
_cell_angle_gamma 117.37
loop_
_atom_site_label
_atom_site_type_symbol
_atom_site_fract_x
_atom_site_fract_y
_atom_site_fract_z
Nd1 Nd 0.0283 0.9717 0.7500
Nd2 Nd 0.9717 0.0283 0.2500
Sm1 Sm 0.0120 0.5625 0.6842
Sm2 Sm 0.1173 0.7566 0.0556
Sm3 Sm 0.2434 0.8827 0.4444
Sm4 Sm 0.2930 0.5127 0.8818
Sm5 Sm 0.4375 0.9880 0.8158
Sm6 Sm 0.4873 0.7070 0.6182
Sm7 Sm 0.5127 0.2930 0.3818
Sm8 Sm 0.5625 0.0120 0.1842
Sm9 Sm 0.7070 0.4873 0.1182
Sm10 Sm 0.7566 0.1173 0.5556
Sm11 Sm 0.8827 0.2434 0.9444
Sm12 Sm 0.9880 0.4375 0.3158
Dy1 Dy 0.4100 0.5900 0.2500
Dy2 Dy 0.5900 0.4100 0.7500
Ho1 Ho 0.2015 0.3014 0.5475
Ho2 Ho 0.3014 0.2015 0.0475
Ho3 Ho 0.6986 0.7985 0.9525
Ho4 Ho 0.7985 0.6986 0.4525
```

Main lines, in order of falling intensity (10° ≤ 2θ ≤ 90°):
2θ 30.97, rel. 100
2θ 30.17, rel. 56
2θ 30.45, rel. 48
2θ 33.69, rel. 41
2θ 28.26, rel. 41
2θ 31.28, rel. 37
2θ 32.07, rel. 24
2θ 27.89, rel. 20
2θ 37.26, rel. 16
2θ 53.31, rel. 15